VInAsBr2: calculated XRD peak list (Cu Kα (weighted mean of Kα1 and Kα2)), based on a GGA-PBE-relaxed structure.
Lines closer than 0.1° are merged.

Peak list (10 most intense, 5° ≤ 2θ ≤ 70°, in order of rising 2θ)
d 3.579, I = 14
d 2.964, I = 100
d 2.643, I = 64
d 2.432, I = 25
d 2.126, I = 6
d 1.869, I = 22
d 1.790, I = 39
d 1.581, I = 30
d 1.488, I = 12
d 1.482, I = 21

Structure:
Lattice parameters (Å, degrees): 5.286 5.286 4.865 90.00 90.00 90.00
Space group P4/mmm (No. 123)
Unique sites:
V 0.000 0.000 0.000 (multiplicity 1)
In 0.500 0.500 0.500 (multiplicity 1)
As 0.000 0.000 0.500 (multiplicity 1)
Br 0.000 0.500 0.000 (multiplicity 2)

CeY4Tm6: calculated XRD peak list (Cu Kα (weighted mean of Kα1 and Kα2)), based on a GGA-PBE-relaxed structure.
Lines closer than 0.1° are merged.

Peak list (10 most intense, 5° ≤ 2θ ≤ 70°, in order of rising 2θ)
d 2.910, I = 100
d 2.801, I = 48
d 2.792, I = 95
d 2.662, I = 37
d 2.017, I = 24
d 1.927, I = 14
d 1.638, I = 12
d 1.634, I = 24
d 1.615, I = 18
d 1.526, I = 19

Structure:
Lattice parameters (Å, degrees): 5.602 9.662 25.492 90.00 90.00 90.00
Space group Cmcm (No. 63)
Unique sites:
Ce 0.000 0.170 0.250 (multiplicity 4)
Y 0.000 0.165 0.541 (multiplicity 8)
Y 0.000 0.496 0.622 (multiplicity 8)
Tm 0.000 0.163 0.682 (multiplicity 8)
Tm 0.000 0.170 0.103 (multiplicity 8)
Tm 0.000 0.496 0.750 (multiplicity 4)
Tm 0.000 0.500 0.000 (multiplicity 4)